# 1
The following is a theoretical powder XRD pattern of CsSnCl3. It was derived from a cell relaxed with GGA-PBE, using Cu Kα (weighted mean of Kα1 and Kα2).
Peak positions follow from Bragg's law for the DFT cell and can differ from measured ones.

Structure:
```
20
Lattice="5.848 0.000 0.000 0.000 7.913 0.000 -5.059 0.000 16.339" Properties=species:S:1:pos:R:3 pbc="T T T"
Cs -1.179 0.057 5.686
Cs -3.708 3.899 13.855
Cs 4.498 4.013 2.484
Cs 1.969 7.855 10.653
Sn -0.945 4.293 10.017
Sn 1.585 7.576 1.848
Sn -0.795 0.337 14.491
Sn 1.734 3.619 6.321
Cl -4.039 0.259 14.301
Cl -1.510 3.697 6.132
Cl 1.587 5.278 0.741
Cl -0.943 6.591 8.911
Cl -0.976 1.494 12.203
Cl 1.554 2.462 4.033
Cl -0.764 5.451 12.305
Cl 1.765 6.418 4.136
Cl 1.732 1.322 7.428
Cl -0.797 2.635 15.597
Cl 2.299 4.215 10.207
Cl 4.829 7.654 2.038
```

Peak list (10 most intense, 5° ≤ 2θ ≤ 70°, low angle first)
| index | d_spacing | Rel. int. |
| --- | --- | --- |
| 1 1 1 | 4.144 | 100.0 |
| 0 0 4 | 4.085 | 56.4 |
| 1 1 -3 | 4.007 | 96.7 |
| 0 2 0 | 3.956 | 61.3 |
| 0 1 5 | 3.021 | 33.2 |
| 2 0 -2 | 2.919 | 89.0 |
| 0 2 4 | 2.842 | 78.6 |
| 2 2 -2 | 2.349 | 32.0 |
| 1 3 1 | 2.318 | 41.6 |
| 2 2 2 | 2.072 | 27.9 |

# 2
The following is a theoretical powder XRD pattern of CeIr5. It was derived from a cell relaxed with GGA-PBE, using Cu Kα (weighted mean of Kα1 and Kα2).
Peak positions follow from Bragg's law for the DFT cell and can differ from measured ones.

Structure:
```
6
Lattice="5.308 0.000 0.000 -2.654 4.597 0.000 0.000 0.000 4.355" Properties=species:S:1:pos:R:3 pbc="T T T"
Ce 0.000 0.000 0.000
Ir -1.327 2.299 2.178
Ir 0.000 3.065 0.000
Ir 2.654 0.000 2.178
Ir 1.327 2.299 2.178
Ir 2.654 1.532 0.000
```

Peak list (10 most intense, 5° ≤ 2θ ≤ 70°, low angle first)
| index | d_spacing | Rel. int. |
| --- | --- | --- |
| 1 0 0 | 4.597 | 34.7 |
| 1 0 1 | 3.162 | 9.7 |
| 1 1 0 | 2.654 | 16.8 |
| 2 0 0 | 2.299 | 27.9 |
| 1 1 1 | 2.266 | 100.0 |
| 0 0 2 | 2.178 | 35.0 |
| 2 0 1 | 2.033 | 55.7 |
| 1 1 2 | 1.684 | 8.7 |
| 2 0 2 | 1.581 | 17.6 |
| 3 0 1 | 1.446 | 24.5 |

# 3
The following is a theoretical powder XRD pattern of Ca2SiO4. It was derived from a cell relaxed with GGA-PBE, using Cu Kα (weighted mean of Kα1 and Kα2).
Peak positions follow from Bragg's law for the DFT cell and can differ from measured ones.

Structure:
```
28
Lattice="6.977 0.000 0.000 0.000 5.393 0.000 -0.362 0.000 9.898" Properties=species:S:1:pos:R:3 pbc="T T T"
Ca 0.000 0.000 0.000
Ca -0.181 2.696 4.949
Ca 1.215 0.013 6.510
Ca 1.396 2.684 1.561
Ca 3.488 0.000 0.000
Ca 3.307 2.696 4.949
Ca 5.218 2.709 8.338
Ca 5.399 5.380 3.389
Si 1.831 5.391 3.250
Si 1.650 2.699 8.199
Si 4.784 0.002 6.649
Si 4.965 2.694 1.699
O 0.620 0.806 4.035
O 0.439 1.890 8.984
O 1.608 0.259 1.617
O 1.427 2.438 6.566
O 1.599 3.788 3.639
O 1.417 4.302 8.588
O 3.268 0.639 3.681
O 3.086 2.057 8.630
O 3.528 3.336 1.269
O 3.347 4.754 6.218
O 5.197 1.091 1.310
O 5.016 1.605 6.259
O 5.188 2.955 3.332
O 5.007 5.134 8.281
O 6.176 3.503 0.914
O 5.995 4.587 5.863
```

Peak list (10 most intense, 5° ≤ 2θ ≤ 70°, low angle first)
| index | d_spacing | Rel. int. |
| --- | --- | --- |
| 2 0 -2 | 2.900 | 49.8 |
| 0 1 3 | 2.815 | 100.0 |
| 2 0 2 | 2.802 | 19.3 |
| 2 1 1 | 2.784 | 49.9 |
| 0 2 0 | 2.696 | 49.4 |
| 2 0 4 | 1.984 | 23.8 |
| 2 2 -2 | 1.975 | 37.5 |
| 2 1 -5 | 1.664 | 21.0 |
| 0 3 3 | 1.579 | 15.3 |
| 2 3 1 | 1.573 | 20.1 |

Repeat the first record exactly.
The following is a theoretical powder XRD pattern of CsSnCl3. It was derived from a cell relaxed with GGA-PBE, using Cu Kα (weighted mean of Kα1 and Kα2).
Peak positions follow from Bragg's law for the DFT cell and can differ from measured ones.

Structure:
```
20
Lattice="5.848 0.000 0.000 0.000 7.913 0.000 -5.059 0.000 16.339" Properties=species:S:1:pos:R:3 pbc="T T T"
Cs -1.179 0.057 5.686
Cs -3.708 3.899 13.855
Cs 4.498 4.013 2.484
Cs 1.969 7.855 10.653
Sn -0.945 4.293 10.017
Sn 1.585 7.576 1.848
Sn -0.795 0.337 14.491
Sn 1.734 3.619 6.321
Cl -4.039 0.259 14.301
Cl -1.510 3.697 6.132
Cl 1.587 5.278 0.741
Cl -0.943 6.591 8.911
Cl -0.976 1.494 12.203
Cl 1.554 2.462 4.033
Cl -0.764 5.451 12.305
Cl 1.765 6.418 4.136
Cl 1.732 1.322 7.428
Cl -0.797 2.635 15.597
Cl 2.299 4.215 10.207
Cl 4.829 7.654 2.038
```

Peak list (10 most intense, 5° ≤ 2θ ≤ 70°, low angle first)
| index | d_spacing | Rel. int. |
| --- | --- | --- |
| 1 1 1 | 4.144 | 100.0 |
| 0 0 4 | 4.085 | 56.4 |
| 1 1 -3 | 4.007 | 96.7 |
| 0 2 0 | 3.956 | 61.3 |
| 0 1 5 | 3.021 | 33.2 |
| 2 0 -2 | 2.919 | 89.0 |
| 0 2 4 | 2.842 | 78.6 |
| 2 2 -2 | 2.349 | 32.0 |
| 1 3 1 | 2.318 | 41.6 |
| 2 2 2 | 2.072 | 27.9 |